# 1
Starting from DFT lattice parameters and positions (GGA-PBE), the X-ray diffraction stick pattern of Li6SnPd was calculated for Cu Kα.
Lines closer than 0.1° are merged.

Cell and atoms:
Cell lengths 4.5389, 5.5367, 5.5367 Å; angles 70.79, 90.00, 90.00 degrees
Element x y z (fractional)
Li 0.0000 0.0000 0.0000
Li 0.0000 0.4692 0.9989
Li 0.0000 0.9989 0.4692
Li 0.5000 0.2362 0.7622
Li 0.5000 0.7247 0.7247
Li 0.5000 0.7622 0.2362
Sn 0.0000 0.4836 0.4836
Pd 0.5000 0.2658 0.2658

Most intense lines, 5° ≤ 2θ ≤ 70°, in order of falling intensity:
| d [Å] | I (rel.) |
| --- | --- |
| 5.228 | 100 |
| 3.203 | 73 |
| 2.266 | 66 |
| 3.428 | 47 |
| 2.336 | 35 |
| 2.081 | 28 |

# 2
Starting from DFT lattice parameters and positions (GGA-PBE), the X-ray diffraction stick pattern of Na4HoNp3Se8 was calculated for Cu Kα.
Lines closer than 0.1° are merged.

Cell and atoms:
Cell lengths 8.3999, 8.3999, 8.4857 Å; angles 119.59, 119.59, 59.85 degrees
Element x y z (fractional)
Na 0.0000 0.0000 0.0000
Na 0.0000 0.5000 0.0000
Na 0.5000 0.0000 0.0000
Na 0.5000 0.5000 0.0000
Ho 0.0000 0.0000 0.5000
Np 0.0000 0.5000 0.5000
Np 0.5000 0.0000 0.5000
Np 0.5000 0.5000 0.5000
Se 0.2414 0.7484 0.7316
Se 0.2415 0.2415 0.7299
Se 0.2516 0.7586 0.2684
Se 0.2555 0.2555 0.2686
Se 0.7445 0.7445 0.7314
Se 0.7484 0.2414 0.7316
Se 0.7585 0.7585 0.2701
Se 0.7586 0.2516 0.2684

Most intense lines, 5° ≤ 2θ ≤ 70°, in order of falling intensity:
| d [Å] | I (rel.) |
| --- | --- |
| 2.981 | 100 |
| 6.973 | 100 |
| 2.123 | 56 |
| 2.991 | 51 |
| 2.100 | 38 |
| 3.577 | 33 |

# 3
Starting from DFT lattice parameters and positions (GGA-PBE), the X-ray diffraction stick pattern of HoSi2Ni10 was calculated for Cu Kα.
Lines closer than 0.1° are merged.

Cell and atoms:
Cell lengths 8.1698, 8.1698, 4.6750 Å; angles 90.00, 90.00, 90.00 degrees
Element x y z (fractional)
Ho 0.2500 0.2500 0.2206
Ho 0.7500 0.7500 0.7794
Si 0.0000 0.0000 0.5000
Si 0.0000 0.5000 0.5000
Si 0.5000 0.0000 0.5000
Si 0.5000 0.5000 0.5000
Ni 0.0000 0.0000 0.0000
Ni 0.0000 0.5000 0.0000
Ni 0.0269 0.2500 0.7287
Ni 0.1028 0.7500 0.7611
Ni 0.2500 0.0269 0.7287
Ni 0.2500 0.4731 0.7287
Ni 0.2500 0.6028 0.2389
Ni 0.2500 0.8972 0.2389
Ni 0.3972 0.7500 0.7611
Ni 0.4731 0.2500 0.7287
Ni 0.5000 0.0000 0.0000
Ni 0.5000 0.5000 0.0000
Ni 0.5269 0.7500 0.2713
Ni 0.6028 0.2500 0.2389
Ni 0.7500 0.1028 0.7611
Ni 0.7500 0.3972 0.7611
Ni 0.7500 0.5269 0.2713
Ni 0.7500 0.9731 0.2713
Ni 0.8972 0.2500 0.2389
Ni 0.9731 0.7500 0.2713

Most intense lines, 5° ≤ 2θ ≤ 70°, in order of falling intensity:
| d [Å] | I (rel.) |
| --- | --- |
| 2.040 | 100 |
| 2.029 | 34 |
| 2.353 | 33 |
| 2.879 | 21 |
| 2.337 | 15 |
| 1.817 | 14 |

# 4
Starting from DFT lattice parameters and positions (GGA-PBE), the X-ray diffraction stick pattern of Ac5La5Er2 was calculated for Cu Kα.
Lines closer than 0.1° are merged.

Cell and atoms:
Cell lengths 8.5201, 8.5201, 12.0245 Å; angles 115.08, 115.08, 36.91 degrees
Element x y z (fractional)
Ac 0.0000 0.0000 0.0000
Ac 0.1610 0.1610 0.4962
Ac 0.2532 0.2532 0.2475
Ac 0.7468 0.7468 0.7525
Ac 0.8390 0.8390 0.5038
La 0.3328 0.3328 0.0005
La 0.4222 0.4222 0.7533
La 0.5000 0.5000 0.5000
La 0.5778 0.5778 0.2467
La 0.6672 0.6672 0.9995
Er 0.0847 0.0847 0.7556
Er 0.9153 0.9153 0.2444

Most intense lines, 5° ≤ 2θ ≤ 70°, in order of falling intensity:
| d [Å] | I (rel.) |
| --- | --- |
| 3.110 | 100 |
| 2.693 | 51 |
| 1.905 | 31 |
| 1.625 | 30 |
| 1.622 | 15 |
| 1.555 | 13 |